Entry 1:
Computed powder X-ray diffraction pattern of Ac2Pm8Dy for CuKα, from a DFT-relaxed cell (PBE, Alexandria).

Largest 6 diffraction maxima, low angle first, 5° ≤ 2θ ≤ 70°:
d (Å)	I_rel
2.952	62
2.928	82
2.906	100
2.875	87
2.804	39
1.704	25

Structure:
Cell lengths 10.5976, 10.5976, 5.7569 Å; angles 93.22, 93.22, 39.40 degrees
Fractional positions:
Ac (0.2189, 0.2189, 0.2574)
Ac (0.7811, 0.7811, 0.7426)
Pm (0.0443, 0.0443, 0.2337)
Pm (0.1150, 0.6416, 0.2687)
Pm (0.3243, 0.3243, 0.7758)
Pm (0.3584, 0.8850, 0.7313)
Pm (0.6416, 0.1150, 0.2687)
Pm (0.6757, 0.6757, 0.2242)
Pm (0.8850, 0.3584, 0.7313)
Pm (0.9557, 0.9557, 0.7663)
Dy (0.5000, 0.5000, 0.0000)


Entry 2:
Computed powder X-ray diffraction pattern of Ac3Pm3Dy for CuKα, from a DFT-relaxed cell (PBE, Alexandria).

Largest 6 diffraction maxima, low angle first, 5° ≤ 2θ ≤ 70°:
d (Å)	I_rel
3.497	34
3.192	45
2.958	100
2.924	98
2.824	63
2.805	39

Structure:
Cell lengths 13.8865, 5.6479, 14.1031 Å; angles 90.00, 90.00, 90.00 degrees
Fractional positions:
Ac (0.0898, 0.2500, 0.0608)
Ac (0.0944, 0.2500, 0.5584)
Ac (0.1875, 0.7500, 0.3621)
Ac (0.3125, 0.2500, 0.8621)
Ac (0.4056, 0.7500, 0.0584)
Ac (0.4102, 0.7500, 0.5608)
Ac (0.5898, 0.2500, 0.4392)
Ac (0.5944, 0.2500, 0.9416)
Ac (0.6875, 0.7500, 0.1379)
Ac (0.8125, 0.2500, 0.6379)
Ac (0.9056, 0.7500, 0.4416)
Ac (0.9102, 0.7500, 0.9392)
Pm (0.0359, 0.2500, 0.3123)
Pm (0.1645, 0.7500, 0.9342)
Pm (0.2081, 0.7500, 0.6995)
Pm (0.2919, 0.2500, 0.1995)
Pm (0.3355, 0.2500, 0.4342)
Pm (0.4641, 0.7500, 0.8123)
Pm (0.5359, 0.2500, 0.1877)
Pm (0.6645, 0.7500, 0.5658)
Pm (0.7081, 0.7500, 0.8005)
Pm (0.7919, 0.2500, 0.3005)
Pm (0.8355, 0.2500, 0.0658)
Pm (0.9641, 0.7500, 0.6877)
Dy (0.0455, 0.2500, 0.8127)
Dy (0.4545, 0.7500, 0.3127)
Dy (0.5455, 0.2500, 0.6873)
Dy (0.9545, 0.7500, 0.1873)


Entry 3:
Computed powder X-ray diffraction pattern of AcPm4Dy7 for CuKα, from a DFT-relaxed cell (PBE, Alexandria).

Largest 6 diffraction maxima, low angle first, 5° ≤ 2θ ≤ 70°:
d (Å)	I_rel
3.135	41
2.916	50
2.845	100
2.706	90
1.823	39
1.546	30

Structure:
Cell lengths 6.3152, 7.2932, 9.0013 Å; angles 90.03, 103.66, 90.10 degrees
Fractional positions:
Ac (0.0000, 0.0000, 0.0000)
Pm (0.2209, 0.4995, 0.6675)
Pm (0.2812, 0.7482, 0.3365)
Pm (0.7188, 0.2518, 0.6635)
Pm (0.7791, 0.5005, 0.3325)
Dy (0.0000, 0.5000, 0.0000)
Dy (0.2228, 0.9995, 0.6633)
Dy (0.2798, 0.2521, 0.3345)
Dy (0.5001, 0.2521, 0.0005)
Dy (0.4999, 0.7479, 0.9995)
Dy (0.7202, 0.7479, 0.6655)
Dy (0.7772, 0.0005, 0.3367)


Entry 4:
Computed powder X-ray diffraction pattern of AcPm3Dy7 for CuKα, from a DFT-relaxed cell (PBE, Alexandria).

Largest 6 diffraction maxima, low angle first, 5° ≤ 2θ ≤ 70°:
d (Å)	I_rel
2.928	33
2.916	100
2.528	68
1.790	24
1.785	24
1.523	43

Structure:
Cell lengths 7.1389, 7.1389, 8.7831 Å; angles 90.00, 90.00, 120.00 degrees
Fractional positions:
Ac (0.0000, 0.0000, 0.0000)
Pm (0.1680, 0.3360, 0.3421)
Pm (0.1680, 0.8320, 0.3421)
Pm (0.6640, 0.8320, 0.3421)
Dy (0.0022, 0.5011, 0.0001)
Dy (0.3333, 0.6667, 0.6763)
Dy (0.3342, 0.1671, 0.6708)
Dy (0.4989, 0.5011, 0.0001)
Dy (0.4989, 0.9978, 0.0001)
Dy (0.8329, 0.1671, 0.6708)
Dy (0.8329, 0.6658, 0.6708)


Entry 5:
Computed powder X-ray diffraction pattern of AcPm2Dy7 for CuKα, from a DFT-relaxed cell (PBE, Alexandria).

Largest 6 diffraction maxima, low angle first, 5° ≤ 2θ ≤ 70°:
d (Å)	I_rel
2.897	30
2.853	26
2.727	100
2.033	24
1.638	22
1.622	20

Structure:
Cell lengths 10.4968, 10.4968, 10.4968 Å; angles 159.83, 113.00, 70.77 degrees
Fractional positions:
Ac (0.0000, 0.0000, 0.0000)
Pm (0.1815, 0.6815, 0.5000)
Pm (0.8185, 0.3185, 0.5000)
Dy (0.0942, 0.8411, 0.2531)
Dy (0.3393, 0.3393, 0.0000)
Dy (0.4120, 0.1589, 0.2531)
Dy (0.5000, 0.0000, 0.5000)
Dy (0.5880, 0.8411, 0.7469)
Dy (0.6607, 0.6607, 0.0000)
Dy (0.9058, 0.1589, 0.7469)


Entry 6:
Computed powder X-ray diffraction pattern of AcPm5Dy2 for CuKα, from a DFT-relaxed cell (PBE, Alexandria).

Largest 6 diffraction maxima, low angle first, 5° ≤ 2θ ≤ 70°:
d (Å)	I_rel
3.618	18
3.143	25
2.920	21
2.875	62
2.848	100
2.804	53

Structure:
Cell lengths 9.5478, 9.5478, 7.1002 Å; angles 90.10, 90.10, 61.76 degrees
Fractional positions:
Ac (0.0000, 0.5000, 0.0000)
Ac (0.5000, 0.0000, 0.5000)
Pm (0.0001, 0.9999, 0.2500)
Pm (0.9999, 0.0001, 0.7500)
Pm (0.0409, 0.3036, 0.4996)
Pm (0.3036, 0.0409, 0.9996)
Pm (0.3546, 0.3565, 0.7486)
Pm (0.3565, 0.3546, 0.2486)
Pm (0.6435, 0.6454, 0.7514)
Pm (0.6454, 0.6435, 0.2514)
Pm (0.6964, 0.9591, 0.0004)
Pm (0.9591, 0.6964, 0.5004)
Dy (0.2987, 0.6782, 0.0001)
Dy (0.3218, 0.7013, 0.4999)
Dy (0.6782, 0.2987, 0.5001)
Dy (0.7013, 0.3218, 0.9999)